# 1
Simulated X-ray diffraction stick pattern
Compound: PrThN2
Radiation: Cu Kα X-rays
Structure: a structure optimized by DFT (PBE)
Intensities are scaled so that the largest is 100.

Top 6 peaks for 2θ = 5–70°, in order of rising 2θ:
two_theta	I (rel.)
29.81	100
34.50	47
34.68	23
49.72	33
58.93	31
61.92	17

Atomic structure:
Cell: 3.677 3.677 5.173 Å, 90.00 90.00 90.00°
Positions (direct):
1 Pr 0.000 0.000 0.000
2 Th 0.500 0.500 0.500
3 N 0.000 0.000 0.500
4 N 0.500 0.500 0.000

# 2
Simulated X-ray diffraction stick pattern
Compound: PrUN2
Radiation: Cu Kα X-rays
Structure: a structure optimized by DFT (PBE)
Intensities are scaled so that the largest is 100.

Top 6 peaks for 2θ = 5–70°, in order of rising 2θ:
two_theta	I (rel.)
30.63	35
30.95	100
35.79	91
51.31	32
51.73	32
61.32	31

Atomic structure:
Cell: 6.184 6.184 6.184 Å, 33.21 33.21 33.21°
Positions (direct):
1 Pr 0.000 0.000 0.000
2 U 0.500 0.500 0.500
3 N 0.234 0.234 0.234
4 N 0.766 0.766 0.766

# 3
Simulated X-ray diffraction stick pattern
Compound: PrUN2
Radiation: Cu Kα X-rays
Structure: a structure optimized by DFT (PBE)
Intensities are scaled so that the largest is 100.

Top 6 peaks for 2θ = 5–70°, in order of rising 2θ:
two_theta	I (rel.)
30.76	100
35.59	46
35.83	23
51.40	32
60.94	31
64.08	17

Atomic structure:
Cell: 3.567 3.567 5.012 Å, 90.00 90.00 90.00°
Positions (direct):
1 Pr 0.000 0.000 0.000
2 U 0.500 0.500 0.500
3 N 0.000 0.000 0.500
4 N 0.500 0.500 0.000

# 4
Simulated X-ray diffraction stick pattern
Compound: PtN2
Radiation: Cu Kα X-rays
Structure: a structure optimized by DFT (PBE)
Intensities are scaled so that the largest is 100.

Top 6 peaks for 2θ = 5–70°, in order of rising 2θ:
two_theta	I (rel.)
22.79	50
34.09	100
39.68	29
47.77	39
57.11	19
62.29	21

Atomic structure:
Cell: 3.225 3.225 7.805 Å, 90.00 90.00 120.00°
Positions (direct):
1 Pt 0.333 0.667 0.250
2 Pt 0.667 0.333 0.750
3 N 0.000 0.000 0.077
4 N 0.000 0.000 0.423
5 N 0.000 0.000 0.577
6 N 0.000 0.000 0.923

# 5
Simulated X-ray diffraction stick pattern
Compound: PtN2
Radiation: Cu Kα X-rays
Structure: a structure optimized by DFT (PBE)
Intensities are scaled so that the largest is 100.

Top 5 peaks for 2θ = 5–70°, in order of rising 2θ:
two_theta	I (rel.)
31.84	100
36.93	71
53.21	47
63.36	52
66.53	15

Atomic structure:
Cell: 4.869 4.869 4.869 Å, 90.00 90.00 90.00°
Positions (direct):
1 Pt 0.000 0.000 0.000
2 Pt 0.000 0.500 0.500
3 Pt 0.500 0.000 0.500
4 Pt 0.500 0.500 0.000
5 N 0.084 0.584 0.916
6 N 0.084 0.916 0.416
7 N 0.416 0.084 0.916
8 N 0.416 0.416 0.416
9 N 0.584 0.584 0.584
10 N 0.584 0.916 0.084
11 N 0.916 0.084 0.584
12 N 0.916 0.416 0.084

# 6
Simulated X-ray diffraction stick pattern
Compound: PtN2
Radiation: Cu Kα X-rays
Structure: a structure optimized by DFT (PBE)
Intensities are scaled so that the largest is 100.

Top 6 peaks for 2θ = 5–70°, in order of rising 2θ:
two_theta	I (rel.)
29.99	84
33.49	57
36.87	100
53.12	44
60.10	30
66.30	19

Atomic structure:
Cell: 3.764 4.876 3.200 Å, 90.00 90.00 90.00°
Positions (direct):
1 Pt 0.000 0.000 0.000
2 Pt 0.500 0.500 0.500
3 N 0.149 0.415 0.000
4 N 0.351 0.915 0.500
5 N 0.649 0.085 0.500
6 N 0.851 0.585 0.000